BaCe2EuO6: calculated powder XRD pattern (Cu Ka), based on a GGA-PBE-relaxed structure.

Most intense lines, 2θ = 10–90°, sorted by position:
two_theta	I/Imax	hkl
28.70	100	2 1 1
40.95	9	4 0 0
41.07	17	0 2 2
50.81	28	4 2 0
50.89	16	2 3 1
59.40	12	4 2 2
67.18	6	6 1 1
67.37	11	0 4 2
81.88	10	6 3 1
82.01	10	2 5 1

Crystal structure
a = 8.816 Å, b = 6.212 Å, c = 6.219 Å
α = 90.00°, β = 90.00°, γ = 90.00°
Sites, in units of the cell vectors:
Ba  0.000  0.243  0.000
Ba  0.000  0.757  0.500
Ce  0.256  0.250  0.472
Ce  0.256  0.750  0.972
Ce  0.744  0.250  0.472
Ce  0.744  0.750  0.972
Eu  0.500  0.256  0.942
Eu  0.500  0.744  0.442
O  0.000  0.326  0.458
O  0.000  0.674  0.958
O  0.213  0.043  0.767
O  0.213  0.957  0.267
O  0.312  0.455  0.176
O  0.312  0.545  0.676
O  0.500  0.141  0.505
O  0.500  0.859  0.005
O  0.688  0.455  0.176
O  0.688  0.545  0.676
O  0.787  0.043  0.767
O  0.787  0.957  0.267